Entry 1:
Diffraction record for Li3FeB4O9. The XRD peak list is simulated, not measured: it uses a structure optimized by DFT (PBE+U) and copper Kα.

Crystal structure
```
data_Li3FeB4O9
_chemical_formula_sum 'Li6 Fe2 B8 O18'
_cell_length_a 5.713
_cell_length_b 8.715
_cell_length_c 6.787
_cell_angle_alpha 90.00
_cell_angle_beta 101.48
_cell_angle_gamma 90.00
_space_group_name_H-M_alt 'P 1 21/m 1'
_space_group_IT_number 11
loop_
_space_group_symop_operation_xyz
'x,y,z'
'-x,-y,-z'
'-x,y+1/2,-z'
'x,-y+1/2,z'
loop_
_atom_site_label
_atom_site_type_symbol
_atom_site_fract_x
_atom_site_fract_y
_atom_site_fract_z
Li1 Li 0.077 0.250 0.009
Li2 Li 0.267 0.563 0.341
Fe1 Fe 0.250 0.250 0.620
B1 B 0.226 0.548 0.779
B2 B 0.370 0.750 0.033
B3 B 0.476 0.250 0.272
O1 O 0.089 0.081 0.714
O2 O 0.213 0.613 0.961
O3 O 0.257 0.250 0.347
O4 O 0.374 0.607 0.656
O5 O 0.419 0.250 0.053
O6 O 0.422 0.750 0.252
```

Peak list (12 most intense, 15 to 90 degrees two-theta, by intensity)
2θ/deg  I (rel.)
24.9  100
34.8  90
20.4  76
18.6  66
40.7  47
22.7  44
25.9  38
21.2  34
18.8  33
35.2  33
36.2  29
51.9  29

***

Entry 2:
Diffraction record for Na2CaFe2P3O12. The XRD peak list is simulated, not measured: it uses a structure optimized by DFT (PBE+U) and copper Kα.

Crystal structure
```
data_Na2CaFe2P3O12
_chemical_formula_sum 'Na8 Ca4 Fe8 P12 O48'
_cell_length_a 12.352
_cell_length_b 12.786
_cell_length_c 6.615
_cell_angle_alpha 90.00
_cell_angle_beta 114.80
_cell_angle_gamma 90.00
_space_group_name_H-M_alt 'C 1 2/c 1'
_space_group_IT_number 15
loop_
_space_group_symop_operation_xyz
'x,y,z'
'-x,-y,-z'
'-x,y,-z+1/2'
'x,-y,z+1/2'
'x+1/2,y+1/2,z'
'-x+1/2,-y+1/2,-z'
'-x+1/2,y+1/2,-z+1/2'
'x+1/2,-y+1/2,z+1/2'
loop_
_atom_site_label
_atom_site_type_symbol
_atom_site_fract_x
_atom_site_fract_y
_atom_site_fract_z
Na1 Na 0.000 0.000 0.000
Na2 Na 0.000 0.475 0.250
Ca1 Ca 0.000 0.231 0.750
Fe1 Fe 0.226 0.338 0.633
P1 P 0.000 0.219 0.250
P2 P 0.238 0.397 0.125
O1 O 0.051 0.290 0.460
O2 O 0.095 0.146 0.228
O3 O 0.129 0.088 0.820
O4 O 0.172 0.339 0.898
O5 O 0.172 0.496 0.608
O6 O 0.227 0.328 0.312
```

Peak list (12 most intense, 15 to 90 degrees two-theta, by intensity)
2θ/deg  I (rel.)
32.2  100
31.9  63
30.2  48
28.2  44
34.6  44
15.8  42
31.7  33
24.8  31
41.9  31
51.1  26
34.7  23
56.4  19